Entry 1:
K3Ir: simulated powder XRD pattern (Cu Kα (λ = 1.5418 Å)), based on a DFT-relaxed cell (PBE, the Materials Project).
Intensities are scaled so that the largest is 100.

Most intense lines, 2θ = 5–70°, by angle:
Position (°2θ), I (rel.)
13.4, 45
21.0, 52
23.4, 35
27.1, 25
31.6, 100
32.3, 22
39.7, 36
40.3, 18
47.9, 18
58.9, 19

Structure:
```
K3Ir
1.0
7.6025 0.0000 0.0000
-3.8012 6.5839 0.0000
0.0000 0.0000 5.5415
K Ir
6 2
Cartesian
0.0000 2.4613 1.3854
-1.6697 5.3533 1.3854
2.1315 1.2306 4.1562
1.6697 5.3533 1.3854
5.4709 1.2306 4.1562
3.8012 4.1226 4.1562
0.0000 4.3893 4.1562
3.8012 2.1946 1.3854
```


Entry 2:
Pm3Gd: simulated powder XRD pattern (Cu Kα (λ = 1.5418 Å)), based on a DFT-relaxed cell (PBE, the Materials Project).
Intensities are scaled so that the largest is 100.

Most intense lines, 2θ = 5–70°, by angle:
Position (°2θ), I (rel.)
30.1, 100
34.9, 51
50.2, 36
59.6, 43
62.6, 12

Structure:
```
Pm3Gd
1.0
5.1422 0.0000 0.0000
0.0000 5.1422 0.0000
0.0000 0.0000 5.1422
Pm Gd
3 1
Cartesian
0.0000 0.0000 2.5711
0.0000 2.5711 0.0000
2.5711 0.0000 0.0000
2.5711 2.5711 2.5711
```


Entry 3:
LiTi4O8: simulated powder XRD pattern (Cu Kα (λ = 1.5418 Å)), based on a DFT-relaxed cell (PBE, the Materials Project).
Intensities are scaled so that the largest is 100.

Most intense lines, 2θ = 5–70°, by angle:
Position (°2θ), I (rel.)
14.0, 37
15.0, 26
24.6, 100
28.3, 57
29.3, 33
32.9, 20
43.0, 33
43.9, 29
47.8, 40
57.5, 20

Structure:
```
LiTi4O8
1.0
6.1839 -1.9024 0.0000
6.1839 1.9024 0.0000
-1.9856 0.0000 6.3059
Li Ti O
1 4 8
Cartesian
0.0000 0.0000 0.0000
2.3292 0.0000 4.5017
4.3394 0.0000 1.8716
6.0428 0.0000 4.4343
8.0529 0.0000 1.8041
0.2909 0.0000 4.5381
2.2144 0.0000 2.1452
2.7591 0.0000 6.2663
4.2039 0.0000 3.9641
6.1782 0.0000 2.3417
7.6230 0.0000 0.0396
8.1677 0.0000 4.1606
10.0912 0.0000 1.7677
```


Entry 4:
LaSi4Ni9: simulated powder XRD pattern (Cu Kα (λ = 1.5418 Å)), based on a DFT-relaxed cell (PBE, the Materials Project).
Intensities are scaled so that the largest is 100.

Most intense lines, 2θ = 5–70°, by angle:
Position (°2θ), I (rel.)
31.3, 19
35.3, 15
36.0, 21
36.2, 16
39.0, 22
39.6, 100
47.4, 39
48.2, 34
48.5, 22
52.1, 14

Structure:
```
LaSi4Ni9
1.0
-3.9228 3.9228 5.7183
3.9228 -3.9228 5.7183
3.9228 3.9228 -5.7183
La Si Ni
2 8 18
Cartesian
0.0000 0.0000 2.8592
0.0000 0.0000 8.5775
5.2587 1.3359 -1.3414
1.3359 2.5868 -1.3414
5.2587 1.3359 1.3414
1.3359 2.5868 1.3414
2.5868 1.3359 4.3770
-1.3359 2.5868 4.3770
2.5868 1.3359 7.0597
-1.3359 2.5868 7.0597
3.9228 0.0000 0.0000
4.9499 -1.0272 2.1137
1.6025 0.5398 0.0000
2.8956 -1.0272 3.6046
3.3830 -2.3203 5.7183
3.3830 2.3203 0.0000
2.8956 1.0272 2.1137
1.6025 -0.5398 5.7183
4.9499 1.0272 3.6046
0.0000 3.9228 0.0000
-1.0272 2.8956 2.1137
2.3203 4.4625 0.0000
1.0272 2.8956 3.6046
0.5398 1.6025 5.7183
0.5398 6.2431 0.0000
1.0272 4.9499 2.1137
2.3203 3.3830 5.7183
-1.0272 4.9499 3.6046
```


Entry 5:
BiPO4: simulated powder XRD pattern (Cu Kα (λ = 1.5418 Å)), based on a DFT-relaxed cell (PBE, the Materials Project).
Intensities are scaled so that the largest is 100.

Most intense lines, 2θ = 5–70°, by angle:
Position (°2θ), I (rel.)
10.6, 100
16.6, 19
21.4, 29
21.7, 24
22.2, 16
26.1, 26
27.4, 41
30.4, 15
33.2, 15
33.6, 20

Structure:
```
BiPO4
1.0
9.1795 -2.8574 0.0000
9.1795 2.8574 0.0000
-7.3820 0.0000 16.6217
Bi P O
8 8 32
Cartesian
0.0000 0.0000 0.0000
-3.6910 0.0000 8.3109
2.6710 0.3016 8.2803
3.6430 1.0366 12.4663
-1.0200 -0.3016 16.5912
11.9970 0.3016 0.0305
7.3340 -1.0366 4.1554
8.3060 -0.3016 8.3414
-4.0747 0.1319 14.9764
-0.3837 -0.1319 6.6656
1.4938 0.0932 14.5733
5.1848 -0.0932 6.2625
5.7922 0.0932 10.3592
9.4832 -0.0932 2.0484
11.3607 0.1319 9.9561
15.0517 -0.1319 1.6453
0.7644 0.8884 6.9317
-1.4383 0.2832 7.7767
-1.0181 0.0614 5.2688
-4.7092 -0.0614 13.5797
5.4376 1.2687 1.4114
-5.1293 -0.2832 16.0875
4.6083 1.2672 6.7772
0.6580 1.1413 15.4197
1.4012 0.3348 13.0703
10.0596 1.2672 1.5337
-2.9266 -0.8884 15.2426
6.6280 1.1413 9.5129
4.2650 0.2400 10.0090
9.2305 1.2687 6.8994
5.0923 -0.3348 4.7594
3.0209 0.2400 14.9236
7.9560 -0.2400 1.6981
5.8847 0.3348 11.8623
1.7465 -1.2687 9.7223
6.7120 -0.2400 6.6128
4.3490 -1.1413 7.1088
13.9036 0.8884 1.3792
0.9173 -1.2672 15.0881
9.5758 -0.3348 3.5514
10.3190 -1.1413 1.2020
6.3686 -1.2672 9.8445
16.1063 0.2832 0.5342
5.5394 -1.2687 15.2103
15.6861 0.0614 3.0420
11.9951 -0.0614 11.3529
12.4153 -0.2832 8.8450
10.2126 -0.8884 9.6900
```